# CoI3O9
Calculated powder XRD pattern, Cu Kα, 1.54184 Å. Input: a PBE+U-relaxed structure.
Lines closer than 0.1° are merged.

Most intense lines, 2θ from 10° to 90°, sorted by position:
hkl 1 1 1, 26.49°, I 100
hkl 2 1 -1, 26.59°, I 50
hkl 0 0 3, 34.18°, I 15
hkl 3 0 0, 34.43°, I 30
hkl 2 2 -1, 41.12°, I 15
hkl 2 1 -4, 43.82°, I 20
hkl 3 2 0, 50.48°, I 25
hkl 1 3 1, 58.82°, I 14

Lattice parameters (Å, degrees): 9.0025 5.0220 9.0630 90.00 119.73 90.00
Space group P2_1 (No. 4)
Symmetry-distinct sites (fractional):
1 Co 0.1674 0.0000 0.3292
2 I 0.1651 0.8826 0.9785
3 I 0.1834 0.3808 0.6631
4 I 0.4807 0.3790 0.3143
5 O 0.0232 0.2598 0.7217
6 O 0.0532 0.2190 0.1199
7 O 0.0685 0.2206 0.4469
8 O 0.2221 0.7578 0.1943
9 O 0.2802 0.6182 0.9411
10 O 0.3066 0.7517 0.5291
11 O 0.3386 0.1198 0.7791
12 O 0.3738 0.2137 0.4285
13 O 0.4388 0.1188 0.1593


# CoI2O6
Calculated powder XRD pattern, Cu Kα, 1.54184 Å. Input: a PBE+U-relaxed structure.
Lines closer than 0.1° are merged.

Most intense lines, 2θ from 10° to 90°, sorted by position:
hkl 2 1 0, 26.17°, I 100
hkl 2 0 2, 32.91°, I 24
hkl 4 0 -2, 33.04°, I 13
hkl 0 1 4, 42.52°, I 14
hkl 2 2 2, 49.91°, I 22
hkl 4 2 -2, 50.00°, I 11
hkl 4 1 2, 54.76°, I 10
hkl 6 1 -2, 54.95°, I 10

Lattice parameters (Å, degrees): 10.8452 4.9308 10.8732 90.00 119.77 90.00
Space group P2_1 (No. 4)
Symmetry-distinct sites (fractional):
1 Co 0.2402 0.0000 0.4945
2 Co 0.2596 0.4962 0.0052
3 I 0.0836 0.9260 0.6813
4 I 0.0851 0.9384 0.1545
5 I 0.4152 0.4392 0.3450
6 I 0.4162 0.4253 0.8189
7 O 0.0686 0.2208 0.3395
8 O 0.0807 0.2673 0.8780
9 O 0.1013 0.7804 0.5344
10 O 0.1144 0.7155 0.0344
11 O 0.2027 0.7573 0.3216
12 O 0.2278 0.7304 0.8276
13 O 0.2714 0.2332 0.6714
14 O 0.2979 0.2540 0.1790
15 O 0.3875 0.2189 0.4672
16 O 0.3966 0.2762 0.9640
17 O 0.4186 0.7709 0.6228
18 O 0.4320 0.7175 0.1593